Starting from a DFT-relaxed cell (PBE, Alexandria), the X-ray powder pattern of Na3Ti8O16 was calculated for Cu Kα (λ = 1.5418 Å).
No peak broadening, texture or thermal motion is included.

Structural model:
Cell: 9.2896 2.9760 10.8003 Å, 90.00 90.03 90.00°
Space group Pm (No. 6)
Unique sites:
Na  0.0000  0.0000  0.0000 (multiplicity 1)
Na  0.0146  0.5000  0.4992 (multiplicity 1)
Na  0.5001  0.0000  0.8057 (multiplicity 1)
Ti  0.1750  0.5000  0.7562 (multiplicity 1)
Ti  0.2026  0.5000  0.2649 (multiplicity 1)
Ti  0.3227  0.0000  0.0436 (multiplicity 1)
Ti  0.3406  0.0000  0.5479 (multiplicity 1)
Ti  0.6738  0.5000  0.0552 (multiplicity 1)
Ti  0.6907  0.5000  0.5370 (multiplicity 1)
Ti  0.8189  0.0000  0.7633 (multiplicity 1)
Ti  0.8420  0.0000  0.2576 (multiplicity 1)
O  0.0522  0.0000  0.2989 (multiplicity 1)
O  0.1423  0.0000  0.6339 (multiplicity 1)
O  0.1800  0.5000  0.0806 (multiplicity 1)
O  0.2331  0.0000  0.8712 (multiplicity 1)
O  0.2725  0.5000  0.4385 (multiplicity 1)
O  0.3336  0.0000  0.2233 (multiplicity 1)
O  0.3675  0.5000  0.6752 (multiplicity 1)
O  0.4647  0.5000  0.0019 (multiplicity 1)
O  0.5495  0.0000  0.5171 (multiplicity 1)
O  0.6471  0.0000  0.1670 (multiplicity 1)
O  0.6795  0.5000  0.7237 (multiplicity 1)
O  0.7341  0.0000  0.9355 (multiplicity 1)
O  0.7867  0.5000  0.3725 (multiplicity 1)
O  0.8348  0.0000  0.5822 (multiplicity 1)
O  0.8718  0.5000  0.1329 (multiplicity 1)
O  0.9634  0.5000  0.8021 (multiplicity 1)

Top 10 peaks for 10 to 90 degrees two-theta, low angle first:
2θ = 19.01°, rel. 49, (1 0 -2); 2θ = 19.11°, rel. 68, (2 0 0); 2θ = 33.18°, rel. 44, (0 0 4); 2θ = 33.36°, rel. 70, (3 0 2); 2θ = 35.80°, rel. 100, (1 1 2); 2θ = 42.98°, rel. 23, (3 1 -1); 2θ = 49.63°, rel. 40, (2 1 -4); 2θ = 49.80°, rel. 33, (4 1 0); 2θ = 61.16°, rel. 31, (4 1 4); 2θ = 62.41°, rel. 23, (0 2 0)